The following is a theoretical XRD peak list of AcNbBrO4. It was derived from a cell relaxed with PBE, using copper Kα.
Kinematic intensities with the Lorentz-polarization factor, no thermal factor.

Peak list (10 most intense, 10° ≤ 2θ ≤ 80°, low angle first)
hkl	2θ/deg	d (Å)	Rel. int.
2 0 0	14.1	6.280	28
1 1 1	20.0	4.439	48
0 0 2	24.5	3.629	28
3 1 0	24.8	3.589	88
0 2 0	25.6	3.485	100
1 1 -2	27.2	3.275	45
3 1 1	29.8	3.000	29
3 1 -2	31.6	2.833	36
0 2 2	35.7	2.513	21
6 2 -1	50.0	1.824	22

Atomic structure:
a = 12.877 Å, b = 6.967 Å, c = 7.440 Å
α = 90.00°, β = 102.73°, γ = 90.00°
Space group C2/m (No. 12)
One atom of each set of equivalent atoms:
Ac 0.210 0.000 0.330 x4
Nb 0.128 0.000 0.751 x4
Br 0.009 0.500 0.158 x4
O 0.019 0.000 0.280 x4
O 0.178 0.206 0.624 x8
O 0.192 0.000 0.000 x4